# 1
# Tl2SnCl4
Simulated X-ray powder pattern, Cu Kα (weighted mean of Kα1 and Kα2). Input: a crystal structure in Alexandria, relaxed with PBE.
Intensities are scaled so that the largest is 100.

Structural model:
a b c (Å): 9.2549 9.2549 12.5315
angles (deg): 90.00 90.00 90.00
Space group P4_122 (No. 91)
Unique sites:
Tl: 0.0000 0.2645 0.0000 [4 per cell]
Tl: 0.2450 0.2450 0.3750 [4 per cell]
Sn: 0.2571 0.5000 0.7500 [4 per cell]
Cl: 0.0524 0.2895 0.7435 [8 per cell]
Cl: 0.2589 0.4896 0.9797 [8 per cell]

Top 6 peaks for 5° ≤ 2θ ≤ 70°, sorted by position:
2θ (°), d (Å), I/Imax, index
19.62, 4.526, 32.4, 1 1 2
22.62, 3.930, 100.0, 2 1 1
23.36, 3.807, 51.0, 1 0 3
35.71, 2.515, 41.3, 3 2 1
38.93, 2.314, 27.2, 4 0 0
39.84, 2.263, 53.7, 2 2 4


# 2
# Pm2TiAlPt6
Simulated X-ray powder pattern, Cu Kα (weighted mean of Kα1 and Kα2). Input: a crystal structure in Alexandria, relaxed with PBE.
Intensities are scaled so that the largest is 100.

Structural model:
a b c (Å): 5.7257 5.7257 22.8849
angles (deg): 90.00 90.00 120.00
Space group R-3m (No. 166, hexagonal axes)
Unique sites:
Pm: 0.0000 0.0000 0.2075 [6 per cell]
Ti: 0.0000 0.0000 0.5000 [3 per cell]
Al: 0.0000 0.0000 0.0000 [3 per cell]
Pt: 0.0023 0.5012 0.7507 [18 per cell]

Top 6 peaks for 5° ≤ 2θ ≤ 70°, sorted by position:
2θ (°), d (Å), I/Imax, index
23.32, 3.814, 69.6, 0 0 6
37.10, 2.423, 100.0, 2 0 2
39.35, 2.290, 21.0, 1 1 6
39.62, 2.275, 88.2, 0 2 4
48.60, 1.874, 30.1, 2 0 8
65.17, 1.431, 25.4, 2 2 0


# 3
# Er4HgSb
Simulated X-ray powder pattern, Cu Kα (weighted mean of Kα1 and Kα2). Input: a crystal structure in Alexandria, relaxed with PBE.
Intensities are scaled so that the largest is 100.

Structural model:
a b c (Å): 7.0755 7.3200 7.3234
angles (deg): 90.00 90.32 90.00
Space group P2_1/c (No. 14)
Unique sites:
Er: 0.1491 0.1631 0.3375 [4 per cell]
Er: 0.3480 0.6495 0.3488 [4 per cell]
Hg: 0.0000 0.0000 0.0000 [2 per cell]
Sb: 0.5000 0.0000 0.5000 [2 per cell]

Top 6 peaks for 5° ≤ 2θ ≤ 70°, sorted by position:
2θ (°), d (Å), I/Imax, index
21.27, 4.177, 58.1, 1 1 1
27.24, 3.274, 100.0, 0 2 1
28.01, 3.185, 98.6, 2 1 0
30.06, 2.973, 66.0, 1 2 -1
40.97, 2.203, 66.9, 1 3 -1
41.06, 2.198, 81.3, 1 1 3